This entry pairs a crystal structure of PaInGaN with its theoretical powder XRD pattern. Radiation: Cu Kα (λ = 1.5418 Å). Structure: the GGA-PBE geometry in Alexandria.
Lines closer than 0.1° are merged.

Principal peaks in the range 10° ≤ 2θ ≤ 90°, by angle:
2θ/deg	I_rel	h k l
23.8	210	1 0 1
29.8	1000	1 0 2
30.4	214	1 1 0
32.2	830	1 1 1
37.0	372	1 1 2
38.0	424	1 0 3
43.6	532	2 0 0
52.5	296	1 1 4
53.7	399	2 1 2
59.2	236	2 1 3

Cell and atoms:
a = 4.154 Å, b = 4.154 Å, c = 8.658 Å
α = 90.00°, β = 90.00°, γ = 90.00°
Space group P4/nmm (No. 129, origin choice 2)
Asymmetric unit:
1 Pa 0.250 0.250 0.126 x2
2 In 0.250 0.750 0.500 x2
3 Ga 0.250 0.250 0.724 x2
4 N 0.250 0.750 0.000 x2



This entry pairs a crystal structure of CaMg4Tl15 with its theoretical powder XRD pattern. Radiation: Cu Kα (λ = 1.5418 Å). Structure: the GGA-PBE geometry in Alexandria.
Lines closer than 0.1° are merged.

Principal peaks in the range 10° ≤ 2θ ≤ 90°, by angle:
2θ/deg	I_rel	h k l
18.3	142	1 0 0
26.1	123	1 0 5
32.1	1000	1 1 5
37.0	344	2 0 0
37.6	162	0 0 10
53.4	122	2 2 0
53.8	234	2 0 10
63.7	287	3 1 5
64.3	134	1 1 15
67.1	121	2 2 10

Cell and atoms:
a = 4.853 Å, b = 4.853 Å, c = 23.953 Å
α = 90.00°, β = 90.00°, γ = 90.00°
Space group P4/mmm (No. 123)
Asymmetric unit:
1 Ca 0.000 0.000 0.000 x1
2 Mg 0.000 0.000 0.198 x2
3 Mg 0.000 0.000 0.400 x2
4 Tl 0.000 0.500 0.104 x4
5 Tl 0.000 0.500 0.300 x4
6 Tl 0.000 0.500 0.500 x2
7 Tl 0.500 0.500 0.000 x1
8 Tl 0.500 0.500 0.202 x2
9 Tl 0.500 0.500 0.400 x2



This entry pairs a crystal structure of Th3CoI3 with its theoretical powder XRD pattern. Radiation: Cu Kα (λ = 1.5418 Å). Structure: the GGA-PBE geometry in Alexandria.
Lines closer than 0.1° are merged.

Principal peaks in the range 10° ≤ 2θ ≤ 90°, by angle:
2θ/deg	I_rel	h k l
28.3	203	1 1 -2
28.7	266	1 1 2
29.1	762	0 0 4
29.4	1000	2 1 0
31.2	313	3 0 -2
32.2	287	3 0 2
41.3	468	2 1 -4
42.4	311	2 1 4
46.0	225	0 2 0
55.4	254	0 2 4

Cell and atoms:
a = 9.538 Å, b = 3.942 Å, c = 12.283 Å
α = 90.00°, β = 92.31°, γ = 90.00°
Space group P2_1/m (No. 11)
Asymmetric unit:
1 Th 0.084 0.250 0.126 x2
2 Th 0.085 0.250 0.613 x2
3 Th 0.291 0.750 0.369 x2
4 Co 0.108 0.250 0.371 x2
5 I 0.186 0.250 0.873 x2
6 I 0.359 0.750 0.118 x2
7 I 0.395 0.750 0.628 x2



This entry pairs a crystal structure of Tm5InCo2 with its theoretical powder XRD pattern. Radiation: Cu Kα (λ = 1.5418 Å). Structure: the GGA-PBE geometry in Alexandria.
Lines closer than 0.1° are merged.

Principal peaks in the range 10° ≤ 2θ ≤ 90°, by angle:
2θ/deg	I_rel	h k l
27.4	454	2 1 1
31.6	419	1 1 4
33.4	1000	2 1 3
33.8	172	2 2 0
36.0	533	2 0 4
37.9	740	3 1 0
43.3	303	2 1 5
56.2	161	4 0 4
59.1	303	3 3 4
68.7	245	3 1 8

Cell and atoms:
a = 7.504 Å, b = 7.504 Å, c = 13.365 Å
α = 90.00°, β = 90.00°, γ = 90.00°
Space group I4/mcm (No. 140)
Asymmetric unit:
1 Tm 0.000 0.000 0.000 x4
2 Tm 0.161 0.339 0.131 x16
3 In 0.000 0.000 0.250 x4
4 Co 0.134 0.366 0.500 x8



This entry pairs a crystal structure of NaU2PaS8 with its theoretical powder XRD pattern. Radiation: Cu Kα (λ = 1.5418 Å). Structure: the GGA-PBE geometry in Alexandria.
Lines closer than 0.1° are merged.

Principal peaks in the range 10° ≤ 2θ ≤ 90°, by angle:
2θ/deg	I_rel	h k l
19.8	1000	1 0 -1
20.3	889	1 0 1
26.1	613	0 2 1
26.3	801	1 2 0
38.5	378	1 2 -2
39.0	476	2 2 -1
39.1	381	1 2 2
39.6	409	2 2 1
48.4	325	0 2 3
49.6	411	3 2 0

Cell and atoms:
a = 6.184 Å, b = 8.110 Å, c = 6.366 Å
α = 90.00°, β = 91.52°, γ = 90.00°
Space group P2/m (No. 10)
Asymmetric unit:
1 Na 0.000 0.000 0.000 x1
2 U 0.500 0.248 0.500 x2
3 Pa 0.000 0.500 0.000 x1
4 S 0.232 0.267 0.177 x4
5 S 0.281 0.500 0.670 x2
6 S 0.293 0.000 0.651 x2



This entry pairs a crystal structure of In3Ga3Sn with its theoretical powder XRD pattern. Radiation: Cu Kα (λ = 1.5418 Å). Structure: the GGA-PBE geometry in Alexandria.
Lines closer than 0.1° are merged.

Principal peaks in the range 10° ≤ 2θ ≤ 90°, by angle:
2θ/deg	I_rel	h k l
26.8	76	1 1 3
33.9	1000	3 -2 2
34.2	326	0 0 6
39.4	652	2 1 4
56.8	228	1 4 0
57.2	206	3 -2 8
67.8	119	4 2 2
68.0	248	1 4 6
68.3	116	2 1 10
71.3	102	6 -4 4

Cell and atoms:
a = 8.5792 Å, b = 8.5792 Å, c = 15.7362 Å
α = 90.00°, β = 90.00°, γ = 120.00°
Space group R-3 (No. 148, hexagonal axes)
Asymmetric unit:
1 In 0.0332 0.2406 0.4165 x18
2 Ga 0.0493 0.2299 0.9208 x18
3 Sn 0.0000 0.0000 0.2407 x6



This entry pairs a crystal structure of Dy5Hg2Ir2 with its theoretical powder XRD pattern. Radiation: Cu Kα (λ = 1.5418 Å). Structure: the GGA-PBE geometry in Alexandria.
Lines closer than 0.1° are merged.

Principal peaks in the range 10° ≤ 2θ ≤ 90°, by angle:
2θ/deg	I_rel	h k l
11.2	297	2 0 0
31.2	818	3 1 2
32.6	546	4 0 2
32.9	1000	4 2 0
33.4	567	0 2 2
35.0	1000	4 2 1
37.6	675	1 1 3
38.3	622	1 3 1
38.9	555	5 1 2
43.5	311	7 1 1

Cell and atoms:
a = 15.786 Å, b = 7.501 Å, c = 7.667 Å
α = 90.00°, β = 90.00°, γ = 90.00°
Space group Cmce (No. 64)
Asymmetric unit:
1 Dy 0.000 0.000 0.000 x4
2 Dy 0.121 0.170 0.329 x16
3 Hg 0.214 0.000 0.000 x8
4 Ir 0.000 0.131 0.633 x8



This entry pairs a crystal structure of Dy3Sc7 with its theoretical powder XRD pattern. Radiation: Cu Kα (λ = 1.5418 Å). Structure: the GGA-PBE geometry in Alexandria.
Lines closer than 0.1° are merged.

Principal peaks in the range 10° ≤ 2θ ≤ 90°, by angle:
2θ/deg	I_rel	h k l
18.8	179	2 0 1
26.6	158	3 1 -1
32.8	1000	1 1 -2
37.9	166	6 0 -2
38.1	328	4 0 2
54.9	219	2 0 -4
55.1	109	4 2 2
65.2	129	7 1 -4
65.6	253	3 1 4
68.8	108	2 2 -4

Cell and atoms:
a = 17.081 Å, b = 4.720 Å, c = 6.695 Å
α = 90.00°, β = 101.70°, γ = 90.00°
Space group C2/m (No. 12)
Asymmetric unit:
1 Dy 0.000 0.000 0.000 x2
2 Dy 0.197 0.000 0.602 x4
3 Sc 0.000 0.000 0.500 x2
4 Sc 0.098 0.500 0.300 x4
5 Sc 0.100 0.500 0.802 x4
6 Sc 0.200 0.000 0.099 x4



This entry pairs a crystal structure of La2Si3Ir3 with its theoretical powder XRD pattern. Radiation: Cu Kα (λ = 1.5418 Å). Structure: the GGA-PBE geometry in Alexandria.
Lines closer than 0.1° are merged.

Principal peaks in the range 10° ≤ 2θ ≤ 90°, by angle:
2θ/deg	I_rel	h k l
11.6	1000	1 1 0
15.8	231	1 0 3
16.4	464	2 0 0
17.8	177	1 1 3
18.4	717	2 1 0
22.9	199	2 1 3
23.3	204	2 2 0
24.7	176	3 0 0
26.1	307	3 1 0
29.8	218	3 2 0

Cell and atoms:
a = 10.803 Å, b = 10.803 Å, c = 19.675 Å
α = 90.00°, β = 90.00°, γ = 90.00°
Space group P4/mmm (No. 123)
Asymmetric unit:
1 La 0.000 0.000 0.231 x2
2 Si 0.000 0.000 0.000 x1
3 Si 0.000 0.000 0.386 x2
4 Ir 0.000 0.000 0.118 x2
5 Ir 0.000 0.000 0.500 x1



This entry pairs a crystal structure of AlNi10B3 with its theoretical powder XRD pattern. Radiation: Cu Kα (λ = 1.5418 Å). Structure: the GGA-PBE geometry in Alexandria.
Lines closer than 0.1° are merged.

Principal peaks in the range 10° ≤ 2θ ≤ 90°, by angle:
2θ/deg	I_rel	h k l
24.1	147	2 2 0
34.4	196	4 0 0
38.6	276	4 2 0
42.5	137	4 2 2
45.2	1000	3 3 3
49.4	134	4 4 0
51.9	450	5 3 1
52.7	170	6 0 0
77.7	171	6 6 0
84.7	126	9 1 1

Cell and atoms:
a = 10.428 Å, b = 10.428 Å, c = 10.428 Å
α = 90.00°, β = 90.00°, γ = 90.00°
Space group Fm-3m (No. 225)
Asymmetric unit:
1 Al 0.250 0.250 0.250 x8
2 Ni 0.000 0.167 0.167 x48
3 Ni 0.118 0.118 0.382 x32
4 B 0.000 0.000 0.273 x24



This entry pairs a crystal structure of ZnAgPbCl5 with its theoretical powder XRD pattern. Radiation: Cu Kα (λ = 1.5418 Å). Structure: the GGA-PBE geometry in Alexandria.
Lines closer than 0.1° are merged.

Principal peaks in the range 10° ≤ 2θ ≤ 90°, by angle:
2θ/deg	I_rel	h k l
13.1	247	1 1 -1
18.9	1000	1 1 1
20.7	624	2 0 -2
25.3	618	0 2 2
26.4	425	1 3 -1
29.1	465	3 1 -1
38.5	263	2 2 -4
39.9	316	3 3 -3
43.5	266	1 3 3
44.7	257	3 3 1

Cell and atoms:
a = 9.745 Å, b = 11.031 Å, c = 10.346 Å
α = 90.00°, β = 117.91°, γ = 90.00°
Space group C2/c (No. 15)
Asymmetric unit:
1 Zn 0.000 0.084 0.250 x4
2 Ag 0.000 0.404 0.250 x4
3 Pb 0.250 0.250 0.000 x4
4 Cl 0.000 0.370 0.750 x4
5 Cl 0.007 0.223 0.423 x8
6 Cl 0.220 0.028 0.841 x8



This entry pairs a crystal structure of Ag2Sn2Te5 with its theoretical powder XRD pattern. Radiation: Cu Kα (λ = 1.5418 Å). Structure: the GGA-PBE geometry in Alexandria.
Lines closer than 0.1° are merged.

Principal peaks in the range 10° ≤ 2θ ≤ 90°, by angle:
2θ/deg	I_rel	h k l
23.1	521	1 0 1
23.3	261	0 1 2
24.6	422	0 1 5
26.7	455	0 1 8
35.5	249	1 0 16
36.9	445	0 1 17
39.6	237	1 0 19
40.6	1000	1 1 0
44.0	262	1 0 22
45.6	264	0 1 23

Cell and atoms:
a = 4.4494 Å, b = 4.4494 Å, c = 53.4993 Å
α = 90.00°, β = 90.00°, γ = 120.00°
Space group R3m (No. 160, hexagonal axes)
Asymmetric unit:
1 Ag 0.0000 0.0000 0.0000 x3
2 Ag 0.0000 0.0000 0.1671 x3
3 Sn 0.0000 0.0000 0.5832 x3
4 Sn 0.0000 0.0000 0.7630 x3
5 Te 0.0000 0.0000 0.0681 x3
6 Te 0.0000 0.0000 0.2185 x3
7 Te 0.0000 0.0000 0.6860 x3
8 Te 0.0000 0.0000 0.8159 x3
9 Te 0.0000 0.0000 0.9477 x3